Simulated XRD peak list
Compound: LiCoF2
Radiation: Cu Kα (weighted mean of Kα1 and Kα2)
Structure: a cell relaxed with GGA+U
Neutral-atom scattering factors, no anomalous dispersion.

Atomic structure:
```
data_LiCoF2
_chemical_formula_sum 'Li3 Co3 F6'
_symmetry_space_group_name_H-M 'R -3 m'
_symmetry_Int_Tables_number 166
_symmetry_space_group_name_Hall '-R 3 2"'
_cell_length_a 2.8702
_cell_length_b 2.8702
_cell_length_c 16.5102
_cell_angle_alpha 90.00
_cell_angle_beta 90.00
_cell_angle_gamma 120.00
loop_
_atom_site_label
_atom_site_type_symbol
_atom_site_fract_x
_atom_site_fract_y
_atom_site_fract_z
Li1 Li 0.0000 0.0000 0.0000
Co1 Co 0.0000 0.0000 0.5000
F1 F 0.0000 0.0000 0.2633
```

Most intense lines, 2θ = 5–70°, by angle:
2θ 16.11, d 5.503, I = 83, (0 0 3); 2θ 36.56, d 2.458, I = 53, (1 0 1); 2θ 37.80, d 2.380, I = 11, (0 1 2); 2θ 42.45, d 2.129, I = 100, (1 0 4); 2θ 45.68, d 1.986, I = 39, (0 1 5); 2θ 49.70, d 1.834, I = 13, (0 0 9); 2θ 58.09, d 1.588, I = 31, (0 1 8); 2θ 64.98, d 1.435, I = 24, (1 1 0)